Structure and computed powder X-ray diffraction pattern of LaAlIn2 (a structure optimized by DFT (PBE); Cu Kα (λ = 1.5418 Å)).

Most intense lines, 2θ from 10° to 90°, sorted by position:
(hkl), 2θ/deg, I/Imax
1 1 1, 26.6, 45.3
2 0 0, 33.5, 63.8
1 1 2, 34.1, 100.0
0 0 3, 36.9, 12.7
2 2 0, 48.2, 22.7
2 0 3, 50.7, 20.2
3 1 1, 55.9, 12.3
3 1 2, 60.4, 37.4
1 1 5, 68.9, 11.2
3 1 5, 88.4, 11.8

Structure:
Cell lengths 5.339, 5.346, 7.308 Å; angles 90.00, 90.00, 90.00 degrees
Space group Cmmm (No. 65)
Inequivalent atoms, fractional coordinates:
La1 0.000 0.000 0.000 (multiplicity 2)
Al1 0.000 0.000 0.500 (multiplicity 2)
In1 0.000 0.500 0.295 (multiplicity 4)